This entry pairs a crystal structure of FeP5O15 with its simulated powder XRD pattern. Radiation: Cu Kα (λ = 1.5418 Å). Structure: a structure optimized by DFT (GGA+U).
No peak broadening, texture or thermal motion is included.

Peak list (8 most intense, 2θ from 15° to 90°, in order of rising 2θ)
2θ/deg	d_spacing	I_rel	index
16.3	5.431	37	0 2 1
17.7	5.006	100	1 0 0
20.2	4.402	50	0 0 2
21.8	4.078	38	0 3 1
21.9	4.052	59	1 2 -1
26.3	3.393	38	1 2 -2
31.5	2.841	39	1 4 -1
34.7	2.585	20	1 4 1

Structural model:
Unit cell a=5.221 b=13.803 c=9.181 alpha=90.00 beta=106.49 gamma=90.00
Fractional positions:
Fe (0.000, 0.000, 0.000)
Fe (0.000, 0.500, 0.000)
P (0.415, 0.075, 0.318)
P (0.415, 0.425, 0.318)
P (0.441, 0.250, 0.502)
P (0.478, 0.640, 0.966)
P (0.478, 0.860, 0.966)
P (0.522, 0.140, 0.034)
P (0.522, 0.360, 0.034)
P (0.559, 0.750, 0.498)
P (0.585, 0.575, 0.682)
P (0.585, 0.925, 0.682)
O (0.182, 0.019, 0.223)
O (0.182, 0.481, 0.223)
O (0.215, 0.624, 0.998)
O (0.215, 0.876, 0.998)
O (0.258, 0.750, 0.465)
O (0.288, 0.079, 0.951)
O (0.288, 0.421, 0.951)
O (0.296, 0.162, 0.396)
O (0.296, 0.338, 0.396)
O (0.361, 0.522, 0.565)
O (0.361, 0.978, 0.565)
O (0.382, 0.250, 0.653)
O (0.429, 0.632, 0.784)
O (0.429, 0.868, 0.784)
O (0.431, 0.250, 0.002)
O (0.569, 0.750, 0.998)
O (0.571, 0.132, 0.216)
O (0.571, 0.368, 0.216)
O (0.618, 0.750, 0.347)
O (0.639, 0.022, 0.435)
O (0.639, 0.478, 0.435)
O (0.704, 0.662, 0.604)
O (0.704, 0.838, 0.604)
O (0.712, 0.579, 0.049)
O (0.712, 0.921, 0.049)
O (0.742, 0.250, 0.535)
O (0.785, 0.124, 0.002)
O (0.785, 0.376, 0.002)
O (0.818, 0.519, 0.777)
O (0.818, 0.981, 0.777)